This entry pairs a crystal structure of TmTl7 with its calculated XRD peak list. Radiation: Cu Kα. Structure: a crystal structure in Alexandria, relaxed with GGA-PBE.
Neutral-atom scattering factors, no anomalous dispersion.

Crystal structure
Cell lengths 6.872, 6.872, 6.872 Å; angles 60.00, 60.00, 60.00 degrees
Positions (direct):
Tm1 0.000 0.000 0.000
Tl1 0.000 0.000 0.500
Tl2 0.000 0.500 0.000
Tl3 0.000 0.500 0.500
Tl4 0.500 0.000 0.000
Tl5 0.500 0.000 0.500
Tl6 0.500 0.500 0.000
Tl7 0.500 0.500 0.500

Principal peaks in the range 15 to 90 degrees two-theta, sorted by position:
two_theta  I (rel.)
31.90  100
37.00  51
53.32  36
63.49  43
66.67  12
78.77  6
87.50  19